# 1
Calculated powder X-ray diffraction pattern of UAg2Cl8 for Cu Kα (weighted mean of Kα1 and Kα2), from a PBE-relaxed structure.
Lines closer than 0.1° are merged.

Most intense lines, 2θ from 5° to 70°, in order of rising 2θ:
2theta  Rel. int.
15.19  53.2
15.50  45.7
17.73  100.0
19.21  55.0
22.15  49.5
23.63  29.3
33.23  28.1
38.56  29.8
42.14  33.2
47.55  28.6

Structural model:
```
UAg2Cl8
1.0
5.838 -5.003 0.000
5.838 5.003 0.000
-0.202 0.000 5.718
U Ag Cl
1 2 8
direct
0.000 0.000 0.000
0.393 0.393 0.198
0.607 0.607 0.802
0.088 0.732 0.234
0.181 0.181 0.267
0.268 0.912 0.766
0.398 0.398 0.737
0.602 0.602 0.263
0.732 0.088 0.234
0.819 0.819 0.733
0.912 0.268 0.766
```

=====

# 2
Calculated powder X-ray diffraction pattern of KZrS2F for Cu Kα (weighted mean of Kα1 and Kα2), from a PBE-relaxed structure.
Lines closer than 0.1° are merged.

Most intense lines, 2θ from 5° to 70°, in order of rising 2θ:
2theta  Rel. int.
10.67  40.2
12.02  44.7
13.41  100.0
21.43  35.7
24.18  41.1
29.41  34.1
31.99  96.4
32.20  80.5
41.46  36.1
53.11  29.1

Structural model:
```
KZrS2F
1.0
7.735 0.000 0.000
0.000 3.747 0.000
-2.673 0.000 8.294
K Zr S F
2 2 4 2
direct
0.202 0.250 0.302
0.798 0.750 0.698
0.328 0.250 0.823
0.672 0.750 0.177
0.321 0.750 0.035
0.347 0.750 0.634
0.653 0.250 0.366
0.679 0.250 0.965
0.051 0.250 0.760
0.949 0.750 0.240
```

=====

# 3
Calculated powder X-ray diffraction pattern of W for Cu Kα (weighted mean of Kα1 and Kα2), from a PBE-relaxed structure.
Lines closer than 0.1° are merged.

Most intense lines, 2θ from 5° to 70°, in order of rising 2θ:
2theta  Rel. int.
23.79  11.4
34.33  25.8
37.65  22.6
38.83  33.6
42.56  100.0
42.92  9.8
55.20  15.2
56.08  6.2
59.25  7.7
67.96  13.5

Structural model:
```
W
1.0
7.299 0.000 0.000
-3.650 6.321 0.000
0.000 0.000 4.638
W
12
direct
0.091 0.249 0.250
0.096 0.501 0.750
0.158 0.909 0.250
0.249 0.158 0.750
0.404 0.904 0.750
0.499 0.596 0.750
0.501 0.404 0.250
0.596 0.096 0.250
0.751 0.842 0.250
0.842 0.091 0.750
0.904 0.499 0.250
0.909 0.751 0.750
```

=====

# 4
Calculated powder X-ray diffraction pattern of Ba6GdRe3O18 for Cu Kα (weighted mean of Kα1 and Kα2), from a PBE-relaxed structure.
Lines closer than 0.1° are merged.

Most intense lines, 2θ from 5° to 70°, in order of rising 2θ:
2theta  Rel. int.
17.61  8.3
27.94  100.0
30.26  88.0
41.65  52.4
47.94  16.6
52.34  33.8
53.75  17.2
57.72  15.5
62.93  15.7
66.56  17.2

Structural model:
```
Ba6GdRe3O18
1.0
5.117 -8.861 0.000
5.117 8.861 0.000
-3.413 0.000 9.536
Ba Gd Re O
12 2 6 36
direct
0.036 0.702 0.605
0.140 0.458 0.875
0.223 0.223 0.126
0.298 0.964 0.395
0.368 0.368 0.609
0.458 0.140 0.875
0.542 0.860 0.125
0.632 0.632 0.391
0.702 0.036 0.605
0.777 0.777 0.874
0.860 0.542 0.125
0.964 0.298 0.395
0.167 0.833 0.000
0.833 0.167 0.000
0.078 0.078 0.732
0.257 0.589 0.269
0.411 0.743 0.731
0.589 0.257 0.269
0.743 0.411 0.731
0.922 0.922 0.268
0.036 0.882 0.140
0.042 0.198 0.631
0.058 0.392 0.140
0.113 0.113 0.363
0.118 0.964 0.860
0.128 0.621 0.361
0.198 0.042 0.631
0.211 0.699 0.138
0.221 0.558 0.631
0.261 0.261 0.860
0.288 0.468 0.371
0.301 0.789 0.862
0.356 0.547 0.142
0.379 0.872 0.639
0.392 0.058 0.140
0.442 0.779 0.369
0.453 0.644 0.858
0.468 0.288 0.371
0.532 0.712 0.629
0.547 0.356 0.142
0.558 0.221 0.631
0.608 0.942 0.860
0.621 0.128 0.361
0.644 0.453 0.858
0.699 0.211 0.138
0.712 0.532 0.629
0.739 0.739 0.140
0.779 0.442 0.369
0.789 0.301 0.862
0.802 0.958 0.369
0.872 0.379 0.639
0.882 0.036 0.140
0.887 0.887 0.637
0.942 0.608 0.860
0.958 0.802 0.369
0.964 0.118 0.860
```

=====

# 5
Calculated powder X-ray diffraction pattern of CeEr3Pb3 for Cu Kα (weighted mean of Kα1 and Kα2), from a PBE-relaxed structure.
Lines closer than 0.1° are merged.

Most intense lines, 2θ from 5° to 70°, in order of rising 2θ:
2theta  Rel. int.
19.17  4.6
27.46  4.9
29.48  22.0
32.32  27.6
33.71  100.0
44.30  14.8
52.29  13.9
58.53  21.0
62.82  16.1
63.67  9.1

Structural model:
```
CeEr3Pb3
1.0
9.258 0.000 0.000
-4.629 8.017 0.000
0.000 0.000 5.540
Ce Er Pb
2 6 6
direct
0.333 0.667 0.250
0.667 0.333 0.750
0.009 0.773 0.250
0.227 0.236 0.250
0.236 0.009 0.750
0.764 0.991 0.250
0.773 0.764 0.750
0.991 0.227 0.750
0.075 0.629 0.750
0.371 0.446 0.750
0.446 0.075 0.250
0.554 0.925 0.750
0.629 0.554 0.250
0.925 0.371 0.250
```

=====

# 6
Calculated powder X-ray diffraction pattern of Tb6TeC3S2 for Cu Kα (weighted mean of Kα1 and Kα2), from a PBE-relaxed structure.
Lines closer than 0.1° are merged.

Most intense lines, 2θ from 5° to 70°, in order of rising 2θ:
2theta  Rel. int.
26.95  14.3
28.65  57.2
32.71  100.0
35.49  23.2
40.91  11.2
45.84  25.6
48.02  38.0
55.92  12.3
59.32  17.6
64.87  17.2

Structural model:
```
Tb6TeC3S2
1.0
8.594 -1.894 0.000
8.594 1.894 0.000
-2.309 0.000 7.586
Tb Te C S
6 1 3 2
direct
0.011 0.011 0.215
0.319 0.319 0.435
0.339 0.339 0.897
0.661 0.661 0.103
0.681 0.681 0.565
0.989 0.989 0.785
0.500 0.500 0.500
0.169 0.169 0.329
0.500 0.500 0.000
0.831 0.831 0.671
0.167 0.167 0.834
0.833 0.833 0.166
```

=====

# 7
Calculated powder X-ray diffraction pattern of La2Sm4Sc for Cu Kα (weighted mean of Kα1 and Kα2), from a PBE-relaxed structure.
Lines closer than 0.1° are merged.

Most intense lines, 2θ from 5° to 70°, in order of rising 2θ:
2theta  Rel. int.
26.47  64.4
29.33  66.9
29.65  62.3
30.29  75.0
30.57  46.9
30.75  54.0
31.03  78.6
31.40  52.4
31.60  100.0
31.70  73.0

Structural model:
```
La2Sm4Sc
1.0
4.533 -7.831 0.000
4.533 7.831 0.000
-1.649 0.000 6.600
La Sm Sc
4 8 2
direct
0.116 0.884 0.500
0.540 0.917 0.278
0.884 0.116 0.000
0.917 0.540 0.778
0.169 0.553 0.245
0.212 0.976 0.019
0.345 0.395 0.885
0.395 0.345 0.385
0.553 0.169 0.745
0.697 0.751 0.645
0.751 0.697 0.145
0.976 0.212 0.519
0.348 0.737 0.759
0.737 0.348 0.259
```

=====

# 8
Calculated powder X-ray diffraction pattern of Mg3Si4O12 for Cu Kα (weighted mean of Kα1 and Kα2), from a PBE-relaxed structure.
Lines closer than 0.1° are merged.

Most intense lines, 2θ from 5° to 70°, in order of rising 2θ:
2theta  Rel. int.
8.96  100.0
19.12  26.7
19.31  18.2
20.30  12.2
21.19  26.8
27.09  44.8
35.27  18.9
35.58  20.5
35.96  17.6
59.93  12.1

Structural model:
```
Mg3Si4O12
1.0
5.330 0.000 0.000
2.663 4.680 0.000
0.685 1.236 9.874
Mg Si O
3 4 12
direct
0.000 0.000 0.000
0.323 0.353 0.000
0.677 0.647 0.000
0.005 0.742 0.718
0.327 0.593 0.282
0.673 0.407 0.718
0.995 0.258 0.282
0.008 0.696 0.885
0.154 0.912 0.335
0.168 0.405 0.337
0.326 0.636 0.115
0.339 0.582 0.663
0.352 0.023 0.914
0.648 0.977 0.086
0.661 0.418 0.337
0.674 0.364 0.885
0.832 0.595 0.663
0.846 0.088 0.665
0.992 0.304 0.115
```

=====

# 9
Calculated powder X-ray diffraction pattern of Tm2Ga6Tc for Cu Kα (weighted mean of Kα1 and Kα2), from a PBE-relaxed structure.
Lines closer than 0.1° are merged.

Most intense lines, 2θ from 5° to 70°, in order of rising 2θ:
2theta  Rel. int.
28.83  64.1
33.95  13.4
35.50  100.0
41.23  83.4
45.12  22.7
46.36  5.8
51.09  18.8
54.43  11.3
59.72  48.5
67.65  19.0

Structural model:
```
Tm2Ga6Tc
1.0
0.000 4.379 4.379
4.379 0.000 4.379
4.379 4.379 0.000
Tm Ga Tc
2 6 1
direct
0.250 0.250 0.250
0.750 0.750 0.750
0.216 0.216 0.784
0.216 0.784 0.216
0.216 0.784 0.784
0.784 0.216 0.216
0.784 0.216 0.784
0.784 0.784 0.216
0.500 0.500 0.500
```

=====

# 10
Calculated powder X-ray diffraction pattern of PmCdHgPb for Cu Kα (weighted mean of Kα1 and Kα2), from a PBE-relaxed structure.
Lines closer than 0.1° are merged.

Most intense lines, 2θ from 5° to 70°, in order of rising 2θ:
2theta  Rel. int.
32.93  100.0
36.41  19.1
38.30  16.7
39.82  15.0
53.88  12.5
55.06  11.7
63.33  15.4
65.87  13.7
67.95  12.5
69.05  11.9

Structural model:
```
PmCdHgPb
1.0
4.527 0.000 0.000
0.000 4.700 0.000
0.000 0.000 4.935
Pm Cd Hg Pb
1 1 1 1
direct
0.000 0.000 0.000
0.000 0.500 0.500
0.500 0.000 0.500
0.500 0.500 0.000
```

=====

# 11
Calculated powder X-ray diffraction pattern of Er4ThTl2 for Cu Kα (weighted mean of Kα1 and Kα2), from a PBE-relaxed structure.
Lines closer than 0.1° are merged.

Most intense lines, 2θ from 5° to 70°, in order of rising 2θ:
2theta  Rel. int.
22.97  11.8
31.83  9.5
32.81  100.0
33.86  12.1
34.98  21.8
37.83  18.8
41.17  10.9
52.47  14.0
61.37  14.9
65.16  14.2

Structural model:
```
Er4ThTl2
1.0
8.771 0.000 0.000
0.000 10.261 0.000
0.000 0.000 4.756
Er Th Tl
8 2 4
direct
0.206 0.000 0.000
0.250 0.250 0.500
0.250 0.750 0.500
0.294 0.500 0.000
0.706 0.500 0.000
0.750 0.250 0.500
0.750 0.750 0.500
0.794 0.000 0.000
0.000 0.500 0.500
0.500 0.000 0.500
0.000 0.268 0.000
0.000 0.732 0.000
0.500 0.232 0.000
0.500 0.768 0.000
```

=====

# 12
Calculated powder X-ray diffraction pattern of Nb2Tc2Mo for Cu Kα (weighted mean of Kα1 and Kα2), from a PBE-relaxed structure.
Lines closer than 0.1° are merged.

Most intense lines, 2θ from 5° to 70°, in order of rising 2θ:
2theta  Rel. int.
34.66  10.1
37.67  19.0
38.91  56.5
39.71  100.0
44.63  5.2
48.82  8.3
53.08  6.9
56.20  6.0
58.60  10.8
59.79  12.4

Structural model:
```
Nb2Tc2Mo
1.0
7.320 0.000 0.000
0.000 7.320 0.000
0.000 0.000 3.151
Nb Tc Mo
4 4 2
direct
0.168 0.332 0.000
0.332 0.832 0.000
0.668 0.168 0.000
0.832 0.668 0.000
0.137 0.637 0.500
0.363 0.137 0.500
0.637 0.863 0.500
0.863 0.363 0.500
0.000 0.000 0.500
0.500 0.500 0.500
```